# 1
Calculated powder diffraction line list
Compound: K3YCl6
Radiation: Cu Kα (weighted mean of Kα1 and Kα2)
Structure: the GGA-PBE geometry in the Materials Project

Peak list (10 most intense, 10° ≤ 2θ ≤ 90°, sorted by position)
- 13.66 deg, d = 6.481 Å, I 29
- 15.79 deg, d = 5.613 Å, I 51
- 22.40 deg, d = 3.969 Å, I 57
- 27.53 deg, d = 3.241 Å, I 31
- 31.89 deg, d = 2.806 Å, I 100
- 35.77 deg, d = 2.510 Å, I 22
- 39.32 deg, d = 2.291 Å, I 24
- 45.72 deg, d = 1.984 Å, I 64
- 56.82 deg, d = 1.620 Å, I 20
- 75.80 deg, d = 1.255 Å, I 23

Structural model:
```
data_K3YCl6
_chemical_formula_sum 'K3 Y1 Cl6'
_symmetry_space_group_name_H-M 'P 1'
_symmetry_Int_Tables_number 1
_cell_length_a 7.9376
_cell_length_b 7.9376
_cell_length_c 7.9376
_cell_angle_alpha 60.00
_cell_angle_beta 60.00
_cell_angle_gamma 60.00
loop_
_symmetry_equiv_pos_as_xyz
'x,y,z'
loop_
_atom_site_label
_atom_site_type_symbol
_atom_site_fract_x
_atom_site_fract_y
_atom_site_fract_z
K1 K 0.0000 0.0000 0.0000
K2 K 0.2500 0.2500 0.2500
K3 K 0.7500 0.7500 0.7500
Y1 Y 0.5000 0.5000 0.5000
Cl1 Cl 0.2654 0.2654 0.7346
Cl2 Cl 0.2654 0.7346 0.2654
Cl3 Cl 0.2654 0.7346 0.7346
Cl4 Cl 0.7346 0.2654 0.2654
Cl5 Cl 0.7346 0.2654 0.7346
Cl6 Cl 0.7346 0.7346 0.2654
```

# 2
Calculated powder diffraction line list
Compound: K3YCl6
Radiation: Cu Kα (weighted mean of Kα1 and Kα2)
Structure: the GGA-PBE geometry in the Materials Project

Peak list (10 most intense, 10° ≤ 2θ ≤ 90°, sorted by position)
- 14.10 deg, d = 6.280 Å, I 64
- 16.42 deg, d = 5.400 Å, I 59
- 23.13 deg, d = 3.846 Å, I 52
- 23.81 deg, d = 3.737 Å, I 65
- 30.25 deg, d = 2.954 Å, I 43
- 31.54 deg, d = 2.836 Å, I 67
- 33.18 deg, d = 2.700 Å, I 100
- 33.70 deg, d = 2.659 Å, I 36
- 35.94 deg, d = 2.499 Å, I 41
- 48.76 deg, d = 1.868 Å, I 26

Structural model:
```
data_K3YCl6
_chemical_formula_sum 'K12 Y4 Cl24'
_symmetry_space_group_name_H-M 'P 1'
_symmetry_Int_Tables_number 1
_cell_length_a 13.2334
_cell_length_b 13.2334
_cell_length_c 12.7765
_cell_angle_alpha 98.38
_cell_angle_beta 98.38
_cell_angle_gamma 34.19
loop_
_symmetry_equiv_pos_as_xyz
'x,y,z'
loop_
_atom_site_label
_atom_site_type_symbol
_atom_site_fract_x
_atom_site_fract_y
_atom_site_fract_z
K1 K 0.0265 0.6493 0.1974
K2 K 0.1580 0.5328 0.8572
K3 K 0.1963 0.7026 0.5640
K4 K 0.2974 0.8037 0.9360
K5 K 0.3507 0.9735 0.3026
K6 K 0.4672 0.8420 0.6428
K7 K 0.5328 0.1580 0.3572
K8 K 0.6493 0.0265 0.6974
K9 K 0.7026 0.1963 0.0640
K10 K 0.8037 0.2974 0.4360
K11 K 0.8420 0.4672 0.1428
K12 K 0.9735 0.3507 0.8026
Y1 Y 0.0000 0.5000 0.5000
Y2 Y 0.2116 0.7884 0.2500
Y3 Y 0.5000 0.0000 0.0000
Y4 Y 0.7884 0.2116 0.7500
Cl1 Cl 0.0195 0.1088 0.2105
Cl2 Cl 0.1088 0.0195 0.7105
Cl3 Cl 0.1437 0.3587 0.3097
Cl4 Cl 0.1473 0.2034 0.5309
Cl5 Cl 0.1661 0.7225 0.0594
Cl6 Cl 0.2034 0.1473 0.0309
Cl7 Cl 0.2775 0.8339 0.4406
Cl8 Cl 0.2869 0.3740 0.5776
Cl9 Cl 0.3587 0.1437 0.8097
Cl10 Cl 0.3740 0.2869 0.0776
Cl11 Cl 0.3737 0.5007 0.3266
Cl12 Cl 0.4993 0.6263 0.1734
Cl13 Cl 0.5007 0.3737 0.8266
Cl14 Cl 0.6263 0.4993 0.6734
Cl15 Cl 0.6260 0.7131 0.9224
Cl16 Cl 0.6413 0.8563 0.1903
Cl17 Cl 0.7131 0.6260 0.4224
Cl18 Cl 0.7225 0.1661 0.5594
Cl19 Cl 0.7966 0.8527 0.9691
Cl20 Cl 0.8339 0.2775 0.9406
Cl21 Cl 0.8527 0.7966 0.4691
Cl22 Cl 0.8563 0.6413 0.6903
Cl23 Cl 0.8912 0.9805 0.2895
Cl24 Cl 0.9805 0.8912 0.7895
```

# 3
Calculated powder diffraction line list
Compound: K3YCl6
Radiation: Cu Kα (weighted mean of Kα1 and Kα2)
Structure: the GGA-PBE geometry in the Materials Project

Peak list (10 most intense, 10° ≤ 2θ ≤ 90°, sorted by position)
- 14.12 deg, d = 6.273 Å, I 100
- 16.31 deg, d = 5.435 Å, I 61
- 23.16 deg, d = 3.841 Å, I 43
- 23.92 deg, d = 3.719 Å, I 63
- 30.54 deg, d = 2.927 Å, I 70
- 31.63 deg, d = 2.829 Å, I 36
- 32.96 deg, d = 2.717 Å, I 96
- 34.11 deg, d = 2.628 Å, I 38
- 43.26 deg, d = 2.091 Å, I 35
- 49.00 deg, d = 1.859 Å, I 35

Structural model:
```
data_K3YCl6
_chemical_formula_sum 'K12 Y4 Cl24'
_symmetry_space_group_name_H-M 'P 1'
_symmetry_Int_Tables_number 1
_cell_length_a 13.2354
_cell_length_b 7.8187
_cell_length_c 12.6816
_cell_angle_alpha 90.00
_cell_angle_beta 108.57
_cell_angle_gamma 90.00
loop_
_symmetry_equiv_pos_as_xyz
'x,y,z'
loop_
_atom_site_label
_atom_site_type_symbol
_atom_site_fract_x
_atom_site_fract_y
_atom_site_fract_z
K1 K 0.0987 0.0322 0.3595
K2 K 0.0987 0.4678 0.8595
K3 K 0.3148 0.5648 0.2656
K4 K 0.3148 0.9352 0.7656
K5 K 0.3202 0.0652 0.1127
K6 K 0.3202 0.4348 0.6127
K7 K 0.6798 0.5652 0.3873
K8 K 0.6798 0.9348 0.8873
K9 K 0.6852 0.0648 0.2344
K10 K 0.6852 0.4352 0.7344
K11 K 0.9013 0.5322 0.1405
K12 K 0.9013 0.9678 0.6405
Y1 Y 0.0000 0.0000 0.0000
Y2 Y 0.0000 0.5000 0.5000
Y3 Y 0.5000 0.0000 0.5000
Y4 Y 0.5000 0.5000 0.0000
Cl1 Cl 0.1020 0.2162 0.5967
Cl2 Cl 0.1020 0.2838 0.0967
Cl3 Cl 0.1193 0.5016 0.3708
Cl4 Cl 0.1193 0.9984 0.8708
Cl5 Cl 0.1386 0.6816 0.6546
Cl6 Cl 0.1386 0.8184 0.1546
Cl7 Cl 0.3449 0.7089 0.0049
Cl8 Cl 0.3449 0.7911 0.5049
Cl9 Cl 0.3469 0.2155 0.3921
Cl10 Cl 0.3469 0.2845 0.8921
Cl11 Cl 0.4999 0.1426 0.6915
Cl12 Cl 0.4999 0.3574 0.1915
Cl13 Cl 0.5001 0.6426 0.8085
Cl14 Cl 0.5001 0.8574 0.3085
Cl15 Cl 0.6531 0.7155 0.1079
Cl16 Cl 0.6531 0.7845 0.6079
Cl17 Cl 0.6551 0.2089 0.4951
Cl18 Cl 0.6551 0.2911 0.9951
Cl19 Cl 0.8614 0.1816 0.8454
Cl20 Cl 0.8614 0.3184 0.3454
Cl21 Cl 0.8807 0.0016 0.1292
Cl22 Cl 0.8807 0.4984 0.6292
Cl23 Cl 0.8980 0.7162 0.9033
Cl24 Cl 0.8980 0.7838 0.4033
```

Q: Number 3 is which compound?
A: K3YCl6